[1]
Calculated XRD peak list of BaAg6O4 for Cu Ka, from a structure optimized by DFT (GGA-PBE).
Kinematic intensities with the Lorentz-polarization factor, no thermal factor.

Structure:
```
data_BaAg6O4
_chemical_formula_sum 'Ba4 Ag24 O16'
_symmetry_space_group_name_H-M 'P 1'
_symmetry_Int_Tables_number 1
_symmetry_space_group_name_Hall 'P 1'
_cell_length_a 6.776
_cell_length_b 12.985
_cell_length_c 9.248
_cell_angle_alpha 90.00
_cell_angle_beta 90.00
_cell_angle_gamma 90.00
loop_
_atom_site_label
_atom_site_fract_x
_atom_site_fract_y
_atom_site_fract_z
Ba1 0.250 0.000 0.124
Ba2 0.250 0.500 0.376
Ba3 0.750 0.000 0.876
Ba4 0.750 0.500 0.624
Ag1 0.000 0.000 0.500
Ag2 0.000 0.500 0.000
Ag3 0.077 0.237 0.466
Ag4 0.077 0.263 0.034
Ag5 0.098 0.750 0.250
Ag6 0.208 0.627 0.738
Ag7 0.208 0.873 0.762
Ag8 0.292 0.127 0.762
Ag9 0.292 0.373 0.738
Ag10 0.402 0.250 0.250
Ag11 0.423 0.737 0.034
Ag12 0.423 0.763 0.466
Ag13 0.500 0.000 0.500
Ag14 0.500 0.500 0.000
Ag15 0.577 0.237 0.534
Ag16 0.577 0.263 0.966
Ag17 0.598 0.750 0.750
Ag18 0.708 0.627 0.262
Ag19 0.708 0.873 0.238
Ag20 0.792 0.127 0.238
Ag21 0.792 0.373 0.262
Ag22 0.902 0.250 0.750
Ag23 0.923 0.737 0.966
Ag24 0.923 0.763 0.534
O1 0.051 0.128 0.908
O2 0.051 0.372 0.592
O3 0.076 0.105 0.335
O4 0.076 0.395 0.165
O5 0.424 0.605 0.165
O6 0.424 0.895 0.335
O7 0.449 0.628 0.592
O8 0.449 0.872 0.908
O9 0.551 0.128 0.092
O10 0.551 0.372 0.408
O11 0.576 0.105 0.665
O12 0.576 0.395 0.835
O13 0.924 0.605 0.835
O14 0.924 0.895 0.665
O15 0.949 0.628 0.408
O16 0.949 0.872 0.092
```

Principal peaks in the range 10 to 90 degrees two-theta, low angle first:
d = 3.090 Å, intensity 41; d = 3.001 Å, intensity 33; d = 2.806 Å, intensity 29; d = 2.791 Å, intensity 100; d = 2.733 Å, intensity 46; d = 2.674 Å, intensity 77; d = 2.657 Å, intensity 51; d = 2.354 Å, intensity 29; d = 2.311 Å, intensity 32; d = 1.646 Å, intensity 42



[2]
Calculated XRD peak list of NaNdGa4Se8 for Cu Ka, from a structure optimized by DFT (GGA-PBE).
Kinematic intensities with the Lorentz-polarization factor, no thermal factor.

Structure:
```
data_NaNdGa4Se8
_chemical_formula_sum 'Na4 Nd4 Ga16 Se32'
_symmetry_space_group_name_H-M 'P 1'
_symmetry_Int_Tables_number 1
_symmetry_space_group_name_Hall 'P 1'
_cell_length_a 15.144
_cell_length_b 12.505
_cell_length_c 12.481
_cell_angle_alpha 74.61
_cell_angle_beta 52.76
_cell_angle_gamma 52.62
loop_
_atom_site_label
_atom_site_fract_x
_atom_site_fract_y
_atom_site_fract_z
Na1 0.122 0.122 0.628
Na2 0.372 0.372 0.878
Na3 0.628 0.628 0.122
Na4 0.878 0.878 0.372
Nd1 0.125 0.125 0.125
Nd2 0.375 0.375 0.375
Nd3 0.625 0.625 0.625
Nd4 0.875 0.875 0.875
Ga1 0.030 0.471 0.860
Ga2 0.111 0.384 0.368
Ga3 0.139 0.860 0.471
Ga4 0.140 0.861 0.970
Ga5 0.363 0.632 0.616
Ga6 0.368 0.637 0.111
Ga7 0.384 0.111 0.637
Ga8 0.471 0.030 0.139
Ga9 0.529 0.970 0.861
Ga10 0.616 0.889 0.363
Ga11 0.632 0.363 0.889
Ga12 0.637 0.368 0.384
Ga13 0.860 0.139 0.030
Ga14 0.861 0.140 0.529
Ga15 0.889 0.616 0.632
Ga16 0.970 0.529 0.140
Se1 0.081 0.593 0.915
Se2 0.085 0.089 0.919
Se3 0.089 0.085 0.407
Se4 0.095 0.578 0.410
Se5 0.151 0.842 0.663
Se6 0.157 0.337 0.158
Se7 0.158 0.849 0.157
Se8 0.182 0.317 0.650
Se9 0.317 0.182 0.351
Se10 0.337 0.157 0.849
Se11 0.350 0.649 0.818
Se12 0.351 0.650 0.317
Se13 0.407 0.919 0.089
Se14 0.410 0.417 0.095
Se15 0.417 0.410 0.578
Se16 0.422 0.905 0.583
Se17 0.578 0.095 0.417
Se18 0.583 0.590 0.422
Se19 0.590 0.583 0.905
Se20 0.593 0.081 0.911
Se21 0.649 0.350 0.683
Se22 0.650 0.351 0.182
Se23 0.663 0.843 0.151
Se24 0.683 0.818 0.649
Se25 0.818 0.683 0.350
Se26 0.842 0.151 0.843
Se27 0.843 0.663 0.842
Se28 0.849 0.158 0.337
Se29 0.905 0.422 0.590
Se30 0.911 0.915 0.593
Se31 0.915 0.911 0.081
Se32 0.919 0.407 0.085
```

Principal peaks in the range 10 to 90 degrees two-theta, low angle first:
d = 7.572 Å, intensity 23; d = 5.359 Å, intensity 25; d = 3.843 Å, intensity 36; d = 3.119 Å, intensity 21; d = 2.997 Å, intensity 100; d = 2.679 Å, intensity 32; d = 2.452 Å, intensity 80; d = 2.394 Å, intensity 22; d = 1.812 Å, intensity 35; d = 1.765 Å, intensity 22



[3]
Calculated XRD peak list of BaLiMg6 for Cu Ka, from a structure optimized by DFT (GGA-PBE).
Kinematic intensities with the Lorentz-polarization factor, no thermal factor.

Structure:
```
data_BaLiMg6
_chemical_formula_sum 'Ba1 Li1 Mg6'
_symmetry_space_group_name_H-M 'P 1'
_symmetry_Int_Tables_number 1
_symmetry_space_group_name_Hall 'P 1'
_cell_length_a 5.395
_cell_length_b 6.834
_cell_length_c 6.834
_cell_angle_alpha 60.16
_cell_angle_beta 90.00
_cell_angle_gamma 90.00
loop_
_atom_site_label
_atom_site_fract_x
_atom_site_fract_y
_atom_site_fract_z
Ba1 0.000 0.000 0.000
Li1 0.000 0.501 0.501
Mg1 0.000 0.504 0.990
Mg2 0.000 0.990 0.504
Mg3 0.500 0.334 0.334
Mg4 0.500 0.352 0.821
Mg5 0.500 0.821 0.352
Mg6 0.500 0.824 0.824
```

Principal peaks in the range 10 to 90 degrees two-theta, low angle first:
d = 5.925 Å, intensity 69; d = 3.989 Å, intensity 67; d = 3.419 Å, intensity 21; d = 2.962 Å, intensity 29; d = 2.888 Å, intensity 27; d = 2.697 Å, intensity 24; d = 2.596 Å, intensity 100; d = 2.455 Å, intensity 16; d = 1.994 Å, intensity 19; d = 1.537 Å, intensity 19



[4]
Calculated XRD peak list of Hf2Be17 for Cu Ka, from a structure optimized by DFT (GGA-PBE).
Kinematic intensities with the Lorentz-polarization factor, no thermal factor.

Structure:
```
data_Hf2Be17
_chemical_formula_sum 'Hf2 Be17'
_symmetry_space_group_name_H-M 'P 1'
_symmetry_Int_Tables_number 1
_symmetry_space_group_name_Hall 'P 1'
_cell_length_a 5.647
_cell_length_b 5.647
_cell_length_c 5.647
_cell_angle_alpha 82.80
_cell_angle_beta 82.80
_cell_angle_gamma 82.80
loop_
_atom_site_label
_atom_site_fract_x
_atom_site_fract_y
_atom_site_fract_z
Hf1 0.163 0.163 0.163
Hf2 0.837 0.837 0.837
Be1 0.000 0.500 0.500
Be2 0.157 0.157 0.660
Be3 0.157 0.660 0.157
Be4 0.211 0.500 0.789
Be5 0.211 0.789 0.500
Be6 0.340 0.843 0.843
Be7 0.404 0.404 0.404
Be8 0.500 0.000 0.500
Be9 0.500 0.211 0.789
Be10 0.500 0.500 0.000
Be11 0.500 0.789 0.211
Be12 0.596 0.596 0.596
Be13 0.660 0.157 0.157
Be14 0.789 0.211 0.500
Be15 0.789 0.500 0.211
Be16 0.843 0.340 0.843
Be17 0.843 0.843 0.340
```

Principal peaks in the range 10 to 90 degrees two-theta, low angle first:
d = 5.568 Å, intensity 64; d = 4.176 Å, intensity 27; d = 3.734 Å, intensity 100; d = 3.646 Å, intensity 32; d = 2.609 Å, intensity 91; d = 2.156 Å, intensity 30; d = 1.867 Å, intensity 23; d = 1.856 Å, intensity 42; d = 1.823 Å, intensity 20; d = 1.316 Å, intensity 28



[5]
Calculated XRD peak list of BaSbAu for Cu Ka, from a structure optimized by DFT (GGA-PBE).
Kinematic intensities with the Lorentz-polarization factor, no thermal factor.

Structure:
```
data_BaSbAu
_chemical_formula_sum 'Ba2 Sb2 Au2'
_symmetry_space_group_name_H-M 'P 1'
_symmetry_Int_Tables_number 1
_symmetry_space_group_name_Hall 'P 1'
_cell_length_a 5.685
_cell_length_b 5.685
_cell_length_c 6.907
_cell_angle_alpha 90.00
_cell_angle_beta 90.00
_cell_angle_gamma 120.00
loop_
_atom_site_label
_atom_site_fract_x
_atom_site_fract_y
_atom_site_fract_z
Ba1 0.333 0.667 0.250
Ba2 0.667 0.333 0.750
Sb1 0.333 0.667 0.750
Sb2 0.667 0.333 0.250
Au1 0.000 0.000 0.000
Au2 0.000 0.000 0.500
```

Principal peaks in the range 10 to 90 degrees two-theta, low angle first:
d = 2.843 Å, intensity 98; d = 2.827 Å, intensity 100; d = 2.005 Å, intensity 37; d = 1.641 Å, intensity 19; d = 1.638 Å, intensity 40; d = 1.476 Å, intensity 27; d = 1.421 Å, intensity 12; d = 1.270 Å, intensity 17; d = 1.190 Å, intensity 14; d = 1.097 Å, intensity 11



[6]
Calculated XRD peak list of K3MoCl6 for Cu Ka, from a structure optimized by DFT (GGA-PBE).
Kinematic intensities with the Lorentz-polarization factor, no thermal factor.

Structure:
```
data_K3MoCl6
_chemical_formula_sum 'K3 Mo1 Cl6'
_symmetry_space_group_name_H-M 'P 1'
_symmetry_Int_Tables_number 1
_symmetry_space_group_name_Hall 'P 1'
_cell_length_a 7.655
_cell_length_b 7.655
_cell_length_c 7.655
_cell_angle_alpha 60.00
_cell_angle_beta 60.00
_cell_angle_gamma 60.00
loop_
_atom_site_label
_atom_site_fract_x
_atom_site_fract_y
_atom_site_fract_z
K1 0.000 0.000 0.000
K2 0.250 0.250 0.250
K3 0.750 0.750 0.750
Mo1 0.500 0.500 0.500
Cl1 0.273 0.273 0.727
Cl2 0.273 0.727 0.273
Cl3 0.273 0.727 0.727
Cl4 0.727 0.273 0.273
Cl5 0.727 0.273 0.727
Cl6 0.727 0.727 0.273
```

Principal peaks in the range 10 to 90 degrees two-theta, low angle first:
d = 6.250 Å, intensity 47; d = 5.413 Å, intensity 60; d = 3.827 Å, intensity 67; d = 3.125 Å, intensity 26; d = 2.706 Å, intensity 100; d = 2.421 Å, intensity 23; d = 2.210 Å, intensity 25; d = 1.914 Å, intensity 61; d = 1.563 Å, intensity 19; d = 1.210 Å, intensity 21



[7]
Calculated XRD peak list of TaTcPb2 for Cu Ka, from a structure optimized by DFT (GGA-PBE).
Kinematic intensities with the Lorentz-polarization factor, no thermal factor.

Structure:
```
data_TaTcPb2
_chemical_formula_sum 'Ta1 Tc1 Pb2'
_symmetry_space_group_name_H-M 'P 1'
_symmetry_Int_Tables_number 1
_symmetry_space_group_name_Hall 'P 1'
_cell_length_a 4.927
_cell_length_b 4.927
_cell_length_c 4.927
_cell_angle_alpha 60.00
_cell_angle_beta 60.00
_cell_angle_gamma 60.00
loop_
_atom_site_label
_atom_site_fract_x
_atom_site_fract_y
_atom_site_fract_z
Ta1 0.000 0.000 0.000
Tc1 0.250 0.250 0.250
Pb1 0.500 0.500 0.500
Pb2 0.750 0.750 0.750
```

Principal peaks in the range 10 to 90 degrees two-theta, low angle first:
d = 4.023 Å, intensity 5; d = 3.484 Å, intensity 2; d = 2.464 Å, intensity 100; d = 2.101 Å, intensity 3; d = 1.742 Å, intensity 18; d = 1.599 Å, intensity 1; d = 1.422 Å, intensity 37; d = 1.232 Å, intensity 12; d = 1.178 Å, intensity 1; d = 1.102 Å, intensity 17



[8]
Calculated XRD peak list of Sm4Tm4MgO12 for Cu Ka, from a structure optimized by DFT (GGA-PBE).
Kinematic intensities with the Lorentz-polarization factor, no thermal factor.

Structure:
```
data_Sm4Tm4MgO12
_chemical_formula_sum 'Sm4 Tm4 Mg1 O12'
_symmetry_space_group_name_H-M 'P 1'
_symmetry_Int_Tables_number 1
_symmetry_space_group_name_Hall 'P 1'
_cell_length_a 5.758
_cell_length_b 6.215
_cell_length_c 8.586
_cell_angle_alpha 86.50
_cell_angle_beta 89.11
_cell_angle_gamma 89.83
loop_
_atom_site_label
_atom_site_fract_x
_atom_site_fract_y
_atom_site_fract_z
Sm1 0.000 0.000 0.000
Sm2 0.039 0.863 0.473
Sm3 0.485 0.390 0.530
Sm4 0.545 0.601 0.077
Tm1 0.034 0.436 0.257
Tm2 0.532 0.991 0.273
Tm3 0.543 0.880 0.735
Tm4 0.994 0.451 0.765
Mg1 0.463 0.247 0.903
O1 0.180 0.373 0.023
O2 0.232 0.167 0.360
O3 0.269 0.675 0.645
O4 0.279 0.169 0.718
O5 0.327 0.656 0.317
O6 0.407 0.938 0.006
O7 0.668 0.004 0.506
O8 0.719 0.273 0.175
O9 0.774 0.163 0.816
O10 0.841 0.727 0.873
O11 0.854 0.783 0.215
O12 0.862 0.510 0.517
```

Principal peaks in the range 10 to 90 degrees two-theta, low angle first:
d = 3.102 Å, intensity 46; d = 3.091 Å, intensity 60; d = 3.052 Å, intensity 61; d = 2.961 Å, intensity 100; d = 2.932 Å, intensity 93; d = 2.879 Å, intensity 80; d = 2.654 Å, intensity 32; d = 2.142 Å, intensity 27; d = 2.110 Å, intensity 41; d = 1.706 Å, intensity 23



[9]
Calculated XRD peak list of Ni2C15Se4S16N for Cu Ka, from a structure optimized by DFT (GGA-PBE).
Kinematic intensities with the Lorentz-polarization factor, no thermal factor.

Structure:
```
data_Ni2C15Se4S16N
_chemical_formula_sum 'Ni2 C15 Se4 S16 N1'
_symmetry_space_group_name_H-M 'P 1'
_symmetry_Int_Tables_number 1
_symmetry_space_group_name_Hall 'P 1'
_cell_length_a 6.829
_cell_length_b 8.276
_cell_length_c 17.915
_cell_angle_alpha 86.69
_cell_angle_beta 80.54
_cell_angle_gamma 66.10
loop_
_atom_site_label
_atom_site_fract_x
_atom_site_fract_y
_atom_site_fract_z
Ni1 0.000 0.000 0.000
Ni2 0.455 0.475 0.068
C1 0.047 0.074 0.831
C2 0.099 0.926 0.299
C3 0.150 0.969 0.152
C4 0.305 0.506 0.916
C5 0.358 0.549 0.769
C6 0.407 0.402 0.237
C7 0.495 0.537 0.899
C8 0.533 0.375 0.368
C9 0.535 0.912 0.615
C10 0.595 0.437 0.223
C11 0.687 0.777 0.582
C12 0.860 0.039 0.845
C13 0.925 0.095 0.701
C14 0.958 0.517 0.504
C15 0.961 0.938 0.169
Se1 0.128 0.916 0.397
Se2 0.331 0.558 0.671
Se3 0.554 0.341 0.467
Se4 0.902 0.119 0.601
S1 0.132 0.114 0.738
S2 0.176 0.510 0.840
S3 0.185 0.066 0.903
S4 0.216 0.467 0.006
S5 0.239 0.008 0.062
S6 0.270 0.410 0.165
S7 0.279 0.967 0.228
S8 0.327 0.356 0.330
S9 0.569 0.574 0.804
S10 0.636 0.536 0.969
S11 0.687 0.486 0.134
S12 0.715 0.429 0.302
S13 0.740 0.045 0.766
S14 0.769 0.989 0.934
S15 0.820 0.938 0.100
S16 0.888 0.901 0.265
N1 0.829 0.639 0.543
```

Principal peaks in the range 10 to 90 degrees two-theta, low angle first:
d = 6.140 Å, intensity 100; d = 4.049 Å, intensity 37; d = 3.858 Å, intensity 45; d = 3.783 Å, intensity 51; d = 3.692 Å, intensity 73; d = 3.543 Å, intensity 14; d = 3.063 Å, intensity 14; d = 2.736 Å, intensity 16; d = 2.544 Å, intensity 12; d = 2.035 Å, intensity 23



[10]
Calculated XRD peak list of Zr10Ir3Pt3 for Cu Ka, from a structure optimized by DFT (GGA-PBE).
Kinematic intensities with the Lorentz-polarization factor, no thermal factor.

Structure:
```
data_Zr10Ir3Pt3
_chemical_formula_sum 'Zr10 Ir3 Pt3'
_symmetry_space_group_name_H-M 'P 1'
_symmetry_Int_Tables_number 1
_symmetry_space_group_name_Hall 'P 1'
_cell_length_a 8.188
_cell_length_b 8.188
_cell_length_c 5.515
_cell_angle_alpha 90.00
_cell_angle_beta 90.00
_cell_angle_gamma 120.00
loop_
_atom_site_label
_atom_site_fract_x
_atom_site_fract_y
_atom_site_fract_z
Zr1 0.000 0.247 0.000
Zr2 0.000 0.755 0.500
Zr3 0.245 0.245 0.500
Zr4 0.247 0.000 0.000
Zr5 0.333 0.667 0.253
Zr6 0.333 0.667 0.747
Zr7 0.667 0.333 0.253
Zr8 0.667 0.333 0.747
Zr9 0.753 0.753 0.000
Zr10 0.755 0.000 0.500
Ir1 0.000 0.392 0.500
Ir2 0.392 0.000 0.500
Ir3 0.608 0.608 0.500
Pt1 0.000 0.606 0.000
Pt2 0.394 0.394 0.000
Pt3 0.606 0.000 0.000
```

Principal peaks in the range 10 to 90 degrees two-theta, low angle first:
d = 7.091 Å, intensity 19; d = 3.287 Å, intensity 35; d = 2.758 Å, intensity 29; d = 2.680 Å, intensity 17; d = 2.411 Å, intensity 100; d = 2.364 Å, intensity 49; d = 2.287 Å, intensity 65; d = 1.852 Å, intensity 33; d = 1.516 Å, intensity 24; d = 1.261 Å, intensity 21